For LiFe, a GGA-PBE-relaxed structure gives the theoretical powder XRD pattern in this record (Cu Kα (weighted mean of Kα1 and Kα2)).
Intensities are scaled so that the largest is 100.

Crystal structure
Cell lengths 2.4677, 2.4677, 13.5179 Å; angles 90.00, 90.00, 120.00 degrees
Space group R-3m (No. 166, hexagonal axes)
Inequivalent atoms, fractional coordinates:
1 Li 0.0000 0.0000 0.0000 (multiplicity 3)
2 Fe 0.0000 0.0000 0.5000 (multiplicity 3)

Principal peaks in the range 5 to 70 degrees two-theta, by angle:
d 4.506, 2θ = 19.70°, rel. 100, hkl 0 0 3; d 2.253, 2θ = 40.02°, rel. 22, hkl 0 0 6; d 2.111, 2θ = 42.84°, rel. 37, hkl 1 0 1; d 2.038, 2θ = 44.46°, rel. 47, hkl 0 1 2; d 1.806, 2θ = 50.53°, rel. 32, hkl 1 0 4; d 1.677, 2θ = 54.75°, rel. 17, hkl 0 1 5; d 1.502, 2θ = 61.76°, rel. 4, hkl 0 0 9; d 1.433, 2θ = 65.10°, rel. 9, hkl 1 0 7